Diffraction record for PuH7Pd5. The powder diffractogram is simulated, not measured: it uses a structure optimized by DFT (GGA-PBE) and copper Kα.
Neutral-atom scattering factors, no anomalous dispersion.

Main lines, in order of falling intensity (2θ from 15° to 90°):
d = 2.432 Å, 36.96 deg, I 100.0; d = 2.414 Å, 37.24 deg, I 96.1; d = 2.478 Å, 36.25 deg, I 76.3; d = 2.344 Å, 38.40 deg, I 75.0; d = 2.850 Å, 31.38 deg, I 63.7; d = 2.457 Å, 36.57 deg, I 49.1; d = 2.423 Å, 37.10 deg, I 43.5; d = 2.881 Å, 31.04 deg, I 41.2; d = 2.488 Å, 36.09 deg, I 35.9; d = 4.690 Å, 18.92 deg, I 35.0

Cell and atoms:
```
PuH7Pd5
1.0
5.6328 0.0000 0.0000
-0.0576 5.6950 0.0000
-2.7219 -2.8571 4.1284
Pu H Pd
1 7 5
direct
0.0000 0.0000 0.0000
0.0547 0.5767 0.6037
0.3757 0.9378 0.4087
0.4590 0.4840 0.4434
0.4680 0.0167 0.9489
0.4980 0.4994 0.9761
0.8336 0.1322 0.6197
0.9235 0.4677 0.1311
0.1322 0.3020 0.6804
0.2543 0.7423 0.5150
0.5626 0.8762 0.2060
0.6703 0.4188 0.7585
0.6719 0.4059 0.2607
```